Starting from a GGA-PBE-relaxed structure, the X-ray powder pattern of SmSi2Ni was simulated for CuKα.
Neutral-atom scattering factors, no anomalous dispersion.

The 10 most intense peaks (15 to 90 degrees two-theta), by angle:
2θ 21.7, I = 29.5
2θ 24.5, I = 29.2
2θ 31.1, I = 29.2
2θ 31.5, I = 81.7
2θ 35.1, I = 78.9
2θ 35.2, I = 100.0
2θ 39.8, I = 38.8
2θ 44.2, I = 35.5
2θ 44.8, I = 33.2
2θ 58.1, I = 35.9

Atomic structure:
```
16
Lattice="4.102 0.000 0.000 0.000 16.382 0.000 0.000 0.000 4.046" Properties=species:S:1:pos:R:3 pbc="T T T"
Sm 0.000 1.740 1.012
Sm 0.000 14.642 3.035
Sm 2.051 6.451 3.035
Sm 2.051 9.931 1.012
Si 0.000 4.093 3.035
Si 0.000 7.528 1.012
Si 0.000 8.853 3.035
Si 0.000 12.289 1.012
Si 2.051 0.663 3.035
Si 2.051 4.098 1.012
Si 2.051 12.284 3.035
Si 2.051 15.719 1.012
Ni 0.000 5.233 1.012
Ni 0.000 11.149 3.035
Ni 2.051 2.958 3.035
Ni 2.051 13.424 1.012
```